Starting from DFT lattice parameters and positions (GGA-PBE), the powder XRD pattern of LiGa3Cu3 was simulated for Cu Kα X-rays.
Kinematic intensities with the Lorentz-polarization factor, no thermal factor.

Most intense lines, 2θ from 10° to 80°, by angle:
two_theta  I/Imax
31.93  15
35.56  16
40.39  22
43.52  32
44.17  100
49.13  17

Cell and atoms:
```
LiGa3Cu3
1.0
4.1589 -4.4660 0.0000
4.1589 4.4660 0.0000
0.0000 0.0000 5.5494
Li Ga Cu
2 6 6
Direct
0.1799 0.1799 0.0000
0.8201 0.8201 0.0000
0.0000 0.5000 0.2593
0.0000 0.5000 0.7407
0.5000 0.0000 0.2593
0.5000 0.0000 0.7407
0.5000 0.5000 0.2495
0.5000 0.5000 0.7505
0.1578 0.8422 0.5000
0.2478 0.2478 0.5000
0.2548 0.7452 0.0000
0.7452 0.2548 0.0000
0.7522 0.7522 0.5000
0.8422 0.1578 0.5000
```